For Mn2Tl4Hg, a PBE-relaxed structure gives the simulated XRD peak list in this record (Cu Kα, 1.54184 Å).
Neutral-atom scattering factors, no anomalous dispersion.

Structure:
Cell lengths 5.6605, 5.6605, 13.7948 Å; angles 90.00, 90.00, 90.00 degrees
Space group I4/mmm (No. 139)
Unique sites:
1 Mn 0.0000 0.0000 0.0906 [4 per cell]
2 Tl 0.0000 0.0000 0.2879 [4 per cell]
3 Tl 0.0000 0.5000 0.0000 [4 per cell]
4 Hg 0.0000 0.0000 0.5000 [2 per cell]

Principal peaks in the range 2θ from 10° to 90°, by intensity:
2θ = 31.61°, rel. 1000
2θ = 25.73°, rel. 692
2θ = 36.22°, rel. 521
2θ = 41.26°, rel. 457
2θ = 48.82°, rel. 448
2θ = 52.87°, rel. 428
2θ = 25.83°, rel. 383
2θ = 45.31°, rel. 374